This entry pairs a crystal structure of Er2HfSc4 with its simulated powder diffraction line list. Radiation: Cu Kα (λ = 1.5418 Å). Structure: a cell relaxed with PBE.
No peak broadening, texture or thermal motion is included.

Main lines, sorted by position (10 to 80 degrees two-theta):
Position (°2θ), d_spacing, I (rel.), hkl
14.35, 6.173, 59, 0 0 3
19.17, 4.630, 26, 0 0 4
30.88, 2.895, 78, 1 1 0
33.88, 2.646, 42, 0 0 7
34.91, 2.570, 100, 1 1 3
35.71, 2.514, 96, 2 0 3
45.21, 2.006, 27, 2 0 6
47.76, 1.904, 22, 2 0 -8
54.85, 1.674, 33, 0 2 0
66.05, 1.414, 36, 0 2 7

Atomic structure:
abc: 5.798 3.348 18.619
angles: 90.00 95.94 90.00
Element x y z (fractional)
1 Er 0.000 0.000 0.000
2 Er 0.099 0.000 0.294
3 Er 0.500 0.500 0.000
4 Er 0.599 0.500 0.294
5 Hf 0.407 0.500 0.716
6 Hf 0.907 0.000 0.716
7 Sc 0.196 0.000 0.582
8 Sc 0.216 0.500 0.147
9 Sc 0.284 0.000 0.848
10 Sc 0.315 0.500 0.442
11 Sc 0.696 0.500 0.582
12 Sc 0.716 0.000 0.147
13 Sc 0.784 0.500 0.848
14 Sc 0.815 0.000 0.442